CaH2CO4: theoretical powder diffraction line list (CuKα), based on a DFT-relaxed cell (PBE, the Materials Project).
Kinematic intensities with the Lorentz-polarization factor, no thermal factor.

Largest 10 diffraction maxima, by intensity, 2θ from 5° to 70°:
2θ 20.4, rel. 100; 2θ 28.9, rel. 96; 2θ 46.7, rel. 80; 2θ 41.5, rel. 67; 2θ 31.4, rel. 55; 2θ 37.7, rel. 40; 2θ 16.7, rel. 34; 2θ 46.5, rel. 33; 2θ 51.2, rel. 25; 2θ 51.4, rel. 24

a b c (Å): 6.148 6.148 7.578
angles (deg): 90.00 90.00 120.00
Fractional positions:
Ca 0.001 0.276 0.000
Ca 0.275 0.999 0.667
Ca 0.724 0.725 0.333
H 0.092 0.550 0.420
H 0.450 0.541 0.753
H 0.459 0.908 0.087
H 0.546 0.449 0.915
H 0.551 0.097 0.248
H 0.903 0.454 0.581
C 0.023 0.745 0.039
C 0.255 0.279 0.372
C 0.721 0.977 0.705
O 0.001 0.603 0.503
O 0.051 0.122 0.451
O 0.071 0.949 0.117
O 0.190 0.734 0.936
O 0.266 0.455 0.269
O 0.397 0.398 0.837
O 0.462 0.274 0.405
O 0.545 0.810 0.603
O 0.602 0.999 0.170
O 0.726 0.188 0.738
O 0.812 0.538 0.071
O 0.878 0.929 0.784

=====

AsSe: theoretical powder diffraction line list (CuKα), based on a DFT-relaxed cell (PBE, the Materials Project).
Kinematic intensities with the Lorentz-polarization factor, no thermal factor.

Largest 10 diffraction maxima, by intensity, 2θ from 5° to 70°:
2θ 26.1, rel. 100; 2θ 15.2, rel. 91; 2θ 30.4, rel. 74; 2θ 14.3, rel. 58; 2θ 28.3, rel. 56; 2θ 30.8, rel. 49; 2θ 47.1, rel. 37; 2θ 29.9, rel. 35; 2θ 28.0, rel. 34; 2θ 27.3, rel. 33

a b c (Å): 7.099 14.589 10.553
angles (deg): 90.00 114.22 90.00
Fractional positions:
As 0.057 0.139 0.421
As 0.057 0.361 0.921
As 0.144 0.013 0.881
As 0.144 0.487 0.381
As 0.167 0.660 0.456
As 0.167 0.840 0.956
As 0.346 0.630 0.181
As 0.346 0.870 0.681
As 0.654 0.130 0.319
As 0.654 0.370 0.819
As 0.833 0.160 0.044
As 0.833 0.340 0.544
As 0.856 0.513 0.619
As 0.856 0.987 0.119
As 0.943 0.639 0.079
As 0.943 0.861 0.579
Se 0.106 0.227 0.243
Se 0.106 0.273 0.743
Se 0.140 0.505 0.846
Se 0.140 0.995 0.346
Se 0.404 0.019 0.789
Se 0.404 0.481 0.289
Se 0.438 0.714 0.395
Se 0.438 0.786 0.895
Se 0.562 0.214 0.105
Se 0.562 0.286 0.605
Se 0.596 0.519 0.711
Se 0.596 0.981 0.211
Se 0.860 0.005 0.654
Se 0.860 0.495 0.154
Se 0.894 0.727 0.257
Se 0.894 0.773 0.757

=====

BaH2O2: theoretical powder diffraction line list (CuKα), based on a DFT-relaxed cell (PBE, the Materials Project).
Kinematic intensities with the Lorentz-polarization factor, no thermal factor.

Largest 10 diffraction maxima, by intensity, 2θ from 5° to 70°:
2θ 25.1, rel. 100; 2θ 24.2, rel. 95; 2θ 25.5, rel. 85; 2θ 27.4, rel. 78; 2θ 31.6, rel. 62; 2θ 22.4, rel. 44; 2θ 38.3, rel. 41; 2θ 34.1, rel. 32; 2θ 44.7, rel. 28; 2θ 36.7, rel. 28

a b c (Å): 7.074 8.256 10.608
angles (deg): 90.00 121.66 90.00
Fractional positions:
Ba 0.070 0.046 0.335
Ba 0.070 0.454 0.835
Ba 0.352 0.624 0.593
Ba 0.352 0.876 0.093
Ba 0.648 0.124 0.907
Ba 0.648 0.376 0.407
Ba 0.930 0.546 0.165
Ba 0.930 0.954 0.665
H 0.171 0.244 0.649
H 0.171 0.256 0.149
H 0.198 0.156 0.971
H 0.198 0.344 0.471
H 0.332 0.604 0.216
H 0.332 0.896 0.716
H 0.447 0.695 0.896
H 0.447 0.805 0.396
H 0.553 0.195 0.604
H 0.553 0.305 0.104
H 0.668 0.104 0.284
H 0.668 0.396 0.784
H 0.802 0.656 0.529
H 0.802 0.844 0.029
H 0.829 0.744 0.851
H 0.829 0.756 0.351
O 0.104 0.155 0.098
O 0.104 0.345 0.598
O 0.255 0.142 0.903
O 0.255 0.358 0.403
O 0.290 0.719 0.826
O 0.290 0.781 0.326
O 0.303 0.529 0.135
O 0.303 0.971 0.635
O 0.697 0.029 0.365
O 0.697 0.471 0.865
O 0.710 0.219 0.674
O 0.710 0.281 0.174
O 0.745 0.642 0.597
O 0.745 0.858 0.097
O 0.896 0.655 0.402
O 0.896 0.845 0.902

=====

SrCN2: theoretical powder diffraction line list (CuKα), based on a DFT-relaxed cell (PBE, the Materials Project).
Kinematic intensities with the Lorentz-polarization factor, no thermal factor.

Largest 10 diffraction maxima, by intensity, 2θ from 5° to 70°:
2θ 28.6, rel. 100; 2θ 28.4, rel. 76; 2θ 27.7, rel. 70; 2θ 45.8, rel. 67; 2θ 17.8, rel. 57; 2θ 21.6, rel. 49; 2θ 40.1, rel. 43; 2θ 40.8, rel. 42; 2θ 26.4, rel. 41; 2θ 49.1, rel. 28

a b c (Å): 12.566 4.001 5.438
angles (deg): 90.00 90.00 90.00
Fractional positions:
Sr 0.130 0.250 0.114
Sr 0.370 0.750 0.614
Sr 0.630 0.250 0.386
Sr 0.870 0.750 0.886
C 0.123 0.750 0.616
C 0.377 0.250 0.116
C 0.623 0.750 0.884
C 0.877 0.250 0.384
N 0.077 0.750 0.817
N 0.172 0.750 0.418
N 0.328 0.250 0.918
N 0.423 0.250 0.317
N 0.577 0.750 0.683
N 0.672 0.750 0.082
N 0.828 0.250 0.582
N 0.923 0.250 0.183

=====

SnPb3: theoretical powder diffraction line list (CuKα), based on a DFT-relaxed cell (PBE, the Materials Project).
Kinematic intensities with the Lorentz-polarization factor, no thermal factor.

Largest 10 diffraction maxima, by intensity, 2θ from 5° to 70°:
2θ 33.4, rel. 100; 2θ 30.9, rel. 27; 2θ 62.0, rel. 23; 2θ 56.5, rel. 23; 2θ 29.5, rel. 23; 2θ 52.3, rel. 19; 2θ 43.2, rel. 17; 2θ 63.5, rel. 16; 2θ 21.2, rel. 5; 2θ 64.4, rel. 3

a b c (Å): 6.997 6.997 5.790
angles (deg): 90.00 90.00 120.00
Fractional positions:
Sn 0.333 0.667 0.250
Sn 0.667 0.333 0.750
Pb 0.169 0.339 0.750
Pb 0.169 0.831 0.750
Pb 0.339 0.169 0.250
Pb 0.661 0.831 0.750
Pb 0.831 0.169 0.250
Pb 0.831 0.661 0.250

=====

NbMoC2: theoretical powder diffraction line list (CuKα), based on a DFT-relaxed cell (PBE, the Materials Project).
Kinematic intensities with the Lorentz-polarization factor, no thermal factor.

Largest 5 diffraction maxima, by intensity, 2θ from 5° to 70°:
2θ 34.9, rel. 100; 2θ 40.6, rel. 100; 2θ 35.2, rel. 33; 2θ 58.6, rel. 32; 2θ 59.0, rel. 31

a b c (Å): 5.410 5.410 5.410
angles (deg): 33.88 33.88 33.88
Fractional positions:
Nb 0.000 0.000 0.000
Mo 0.500 0.500 0.500
C 0.248 0.248 0.248
C 0.752 0.752 0.752